No. 1
Structure and theoretical X-ray diffraction stick pattern of Ba2Ti6N2O11 (a cell relaxed with PBE; Cu Kα (λ = 1.5418 Å)).
Lines closer than 0.1° are merged.

Top 12 peaks for 2θ = 10–90°, by angle:
- 2θ 16.01, rel. 25
- 2θ 19.30, rel. 48
- 2θ 23.81, rel. 42
- 2θ 28.73, rel. 61
- 2θ 29.56, rel. 74
- 2θ 29.83, rel. 29
- 2θ 30.06, rel. 43
- 2θ 31.13, rel. 100
- 2θ 34.97, rel. 27
- 2θ 42.67, rel. 36
- 2θ 42.91, rel. 36
- 2θ 46.52, rel. 45

Atomic structure:
Lattice parameters (Å, degrees): 8.016 8.016 9.289 97.75 97.75 28.19
Fractional coordinates of all 21 atoms:
Ba 0.000 0.000 0.000
Ba 0.099 0.099 0.538
Ti 0.309 0.309 0.003
Ti 0.376 0.376 0.335
Ti 0.434 0.434 0.681
Ti 0.664 0.664 0.862
Ti 0.715 0.715 0.215
Ti 0.797 0.797 0.554
N 0.550 0.550 0.774
N 0.907 0.907 0.664
O 0.191 0.191 0.890
O 0.249 0.249 0.203
O 0.303 0.303 0.524
O 0.382 0.382 0.868
O 0.416 0.416 0.159
O 0.472 0.472 0.472
O 0.623 0.623 0.069
O 0.671 0.671 0.381
O 0.715 0.715 0.684
O 0.792 0.792 0.020
O 0.844 0.844 0.347

No. 2
Structure and theoretical X-ray diffraction stick pattern of Ho2InGa3 (a cell relaxed with PBE; Cu Kα (λ = 1.5418 Å)).
Lines closer than 0.1° are merged.

Top 12 peaks for 2θ = 10–90°, by angle:
- 2θ 22.67, rel. 9
- 2θ 33.77, rel. 100
- 2θ 39.67, rel. 38
- 2θ 39.87, rel. 19
- 2θ 50.73, rel. 9
- 2θ 52.97, rel. 9
- 2θ 53.18, rel. 18
- 2θ 66.25, rel. 17
- 2θ 66.39, rel. 8
- 2θ 68.16, rel. 9
- 2θ 68.30, rel. 9
- 2θ 68.53, rel. 8

Atomic structure:
Lattice parameters (Å, degrees): 9.089 8.666 5.780 75.01 67.09 37.90
Fractional coordinates of all 12 atoms:
Ho 0.248 0.752 0.752
Ho 0.250 0.250 0.250
Ho 0.750 0.750 0.750
Ho 0.752 0.248 0.248
In 0.334 0.334 0.666
In 0.666 0.666 0.334
Ga 0.163 0.163 0.837
Ga 0.163 0.675 0.325
Ga 0.325 0.837 0.163
Ga 0.675 0.163 0.837
Ga 0.837 0.325 0.675
Ga 0.837 0.837 0.163

No. 3
Structure and theoretical X-ray diffraction stick pattern of Mg3Pd2Pt (a cell relaxed with PBE; Cu Kα (λ = 1.5418 Å)).
Lines closer than 0.1° are merged.

Top 12 peaks for 2θ = 10–90°, by angle:
- 2θ 24.28, rel. 8
- 2θ 28.11, rel. 61
- 2θ 40.17, rel. 100
- 2θ 47.49, rel. 4
- 2θ 49.75, rel. 17
- 2θ 58.11, rel. 17
- 2θ 63.91, rel. 2
- 2θ 65.78, rel. 22
- 2θ 72.98, rel. 25
- 2θ 73.07, rel. 8
- 2θ 86.71, rel. 5
- 2θ 86.81, rel. 5

Atomic structure:
Lattice parameters (Å, degrees): 4.492 4.492 10.987 90.00 90.00 120.00
Fractional coordinates of all 12 atoms:
Mg 0.000 0.000 0.249
Mg 0.000 0.000 0.751
Mg 0.333 0.667 0.416
Mg 0.333 0.667 0.917
Mg 0.667 0.333 0.083
Mg 0.667 0.333 0.584
Pd 0.000 0.000 0.000
Pd 0.000 0.000 0.500
Pd 0.333 0.667 0.666
Pd 0.667 0.333 0.334
Pt 0.333 0.667 0.167
Pt 0.667 0.333 0.833

No. 4
Structure and theoretical X-ray diffraction stick pattern of Ho7ZnSe5 (a cell relaxed with PBE; Cu Kα (λ = 1.5418 Å)).
Lines closer than 0.1° are merged.

Top 12 peaks for 2θ = 10–90°, by angle:
- 2θ 27.54, rel. 24
- 2θ 29.16, rel. 83
- 2θ 30.35, rel. 32
- 2θ 31.03, rel. 100
- 2θ 32.15, rel. 68
- 2θ 32.56, rel. 41
- 2θ 41.02, rel. 35
- 2θ 44.28, rel. 30
- 2θ 45.13, rel. 50
- 2θ 45.26, rel. 38
- 2θ 46.89, rel. 24
- 2θ 54.75, rel. 29

Atomic structure:
Lattice parameters (Å, degrees): 4.007 6.918 24.180 90.05 90.00 106.81
Fractional coordinates of all 26 atoms:
Ho 0.031 0.062 0.250
Ho 0.138 0.276 0.963
Ho 0.138 0.278 0.537
Ho 0.307 0.614 0.320
Ho 0.309 0.617 0.180
Ho 0.410 0.819 0.885
Ho 0.411 0.821 0.615
Ho 0.589 0.179 0.385
Ho 0.590 0.181 0.115
Ho 0.691 0.383 0.820
Ho 0.693 0.386 0.680
Ho 0.862 0.722 0.463
Ho 0.862 0.724 0.037
Ho 0.969 0.938 0.750
Zn 0.304 0.610 0.750
Zn 0.696 0.390 0.250
Se 0.053 0.106 0.643
Se 0.053 0.106 0.857
Se 0.223 0.446 0.072
Se 0.223 0.446 0.428
Se 0.500 0.000 0.000
Se 0.500 0.000 0.500
Se 0.777 0.554 0.572
Se 0.777 0.554 0.928
Se 0.947 0.894 0.143
Se 0.947 0.894 0.357

No. 5
Structure and theoretical X-ray diffraction stick pattern of NdZnSnPt3 (a cell relaxed with PBE; Cu Kα (λ = 1.5418 Å)).
Lines closer than 0.1° are merged.

Top 12 peaks for 2θ = 10–90°, by angle:
- 2θ 14.20, rel. 44
- 2θ 30.38, rel. 72
- 2θ 32.44, rel. 22
- 2θ 33.48, rel. 64
- 2θ 39.56, rel. 42
- 2θ 40.72, rel. 100
- 2θ 41.54, rel. 35
- 2θ 42.06, rel. 40
- 2θ 42.51, rel. 21
- 2θ 55.04, rel. 21
- 2θ 61.13, rel. 27
- 2θ 71.27, rel. 21

Atomic structure:
Lattice parameters (Å, degrees): 7.073 7.073 5.927 90.00 90.00 123.71
Fractional coordinates of all 12 atoms:
Nd 0.201 0.799 0.750
Nd 0.799 0.201 0.250
Zn 0.441 0.559 0.750
Zn 0.559 0.441 0.250
Sn 0.138 0.862 0.250
Sn 0.862 0.138 0.750
Pt 0.216 0.216 0.000
Pt 0.216 0.216 0.500
Pt 0.345 0.655 0.250
Pt 0.655 0.345 0.750
Pt 0.784 0.784 0.000
Pt 0.784 0.784 0.500

No. 6
Structure and theoretical X-ray diffraction stick pattern of Th4As2Se5 (a cell relaxed with PBE; Cu Kα (λ = 1.5418 Å)).
Lines closer than 0.1° are merged.

Top 12 peaks for 2θ = 10–90°, by angle:
- 2θ 11.23, rel. 85
- 2θ 13.30, rel. 53
- 2θ 22.64, rel. 48
- 2θ 24.13, rel. 25
- 2θ 26.86, rel. 52
- 2θ 31.55, rel. 100
- 2θ 32.08, rel. 36
- 2θ 36.28, rel. 45
- 2θ 38.00, rel. 20
- 2θ 40.68, rel. 27
- 2θ 42.67, rel. 41
- 2θ 43.33, rel. 24

Atomic structure:
Lattice parameters (Å, degrees): 11.969 11.969 7.882 91.95 91.95 20.10
Fractional coordinates of all 11 atoms:
Th 0.014 0.014 0.269
Th 0.327 0.327 0.580
Th 0.673 0.673 0.420
Th 0.986 0.986 0.731
As 0.443 0.443 0.453
As 0.557 0.557 0.547
Se 0.134 0.134 0.188
Se 0.207 0.207 0.662
Se 0.500 0.500 0.000
Se 0.793 0.793 0.338
Se 0.866 0.866 0.812

No. 7
Structure and theoretical X-ray diffraction stick pattern of Tb2FeIr3 (a cell relaxed with PBE; Cu Kα (λ = 1.5418 Å)).
Lines closer than 0.1° are merged.

Top 12 peaks for 2θ = 10–90°, by angle:
- 2θ 21.52, rel. 11
- 2θ 28.67, rel. 8
- 2θ 37.79, rel. 35
- 2θ 37.98, rel. 14
- 2θ 39.55, rel. 100
- 2θ 43.84, rel. 8
- 2θ 61.79, rel. 16
- 2θ 63.01, rel. 10
- 2θ 68.61, rel. 15
- 2θ 69.35, rel. 18
- 2θ 81.08, rel. 8
- 2θ 82.21, rel. 8

Atomic structure:
Lattice parameters (Å, degrees): 5.472 5.472 8.260 90.00 90.00 120.00
Fractional coordinates of all 12 atoms:
Tb 0.333 0.667 0.064
Tb 0.333 0.667 0.436
Tb 0.667 0.333 0.564
Tb 0.667 0.333 0.936
Fe 0.000 0.000 0.000
Fe 0.000 0.000 0.500
Ir 0.168 0.336 0.750
Ir 0.168 0.832 0.750
Ir 0.336 0.168 0.250
Ir 0.664 0.832 0.750
Ir 0.832 0.168 0.250
Ir 0.832 0.664 0.250

No. 8
Structure and theoretical X-ray diffraction stick pattern of EuAl2S4 (a cell relaxed with PBE; Cu Kα (λ = 1.5418 Å)).
Lines closer than 0.1° are merged.

Top 12 peaks for 2θ = 10–90°, by angle:
- 2θ 17.11, rel. 100
- 2θ 24.02, rel. 38
- 2θ 24.13, rel. 83
- 2θ 29.67, rel. 30
- 2θ 30.87, rel. 42
- 2θ 34.18, rel. 21
- 2θ 34.32, rel. 51
- 2θ 34.60, rel. 27
- 2θ 38.44, rel. 58
- 2θ 38.75, rel. 77
- 2θ 45.90, rel. 23
- 2θ 58.67, rel. 24

Atomic structure:
Lattice parameters (Å, degrees): 6.022 6.022 10.494 90.00 90.00 120.59
Fractional coordinates of all 14 atoms:
Eu 0.000 0.000 0.250
Eu 0.000 0.000 0.750
Al 0.260 0.738 0.000
Al 0.262 0.740 0.500
Al 0.738 0.260 0.500
Al 0.740 0.262 0.000
S 0.000 0.500 0.164
S 0.000 0.500 0.836
S 0.146 0.319 0.500
S 0.319 0.146 0.000
S 0.500 0.000 0.336
S 0.500 0.000 0.664
S 0.681 0.854 0.000
S 0.854 0.681 0.500